Record 1
Computed powder XRD pattern
Compound: Sr2YMnCu2O7
Radiation: Cu Kα
Structure: a DFT-relaxed cell (PBE+U, the Materials Project)
Lines closer than 0.1° are merged.

Principal peaks in the range 2θ = 10–90°, low angle first:
- 32.6 deg, I 100, hkl 1 1 2
- 32.9 deg, I 67, hkl 2 0 -1
- 38.2 deg, I 8, hkl 0 0 5
- 38.5 deg, I 34, hkl 1 1 3
- 47.3 deg, I 37, hkl 2 2 -2
- 58.0 deg, I 12, hkl 2 0 5
- 58.6 deg, I 35, hkl 3 1 1
- 62.6 deg, I 16, hkl 1 3 2
- 68.3 deg, I 9, hkl 2 2 -8
- 69.1 deg, I 10, hkl 4 0 -2
- 75.0 deg, I 8, hkl 2 2 5
- 78.7 deg, I 8, hkl 4 2 -3

Structure:
Cell: 5.4375 5.4401 12.3818 Å, 102.65 102.67 90.04°
Space group P1 (No. 1)
Inequivalent atoms, fractional coordinates:
Sr 0.0000 0.0000 0.0000 [1 per cell]
Sr 0.2013 0.2014 0.4025 [1 per cell]
Sr 0.5002 0.4850 0.9999 [1 per cell]
Sr 0.7014 0.6862 0.4025 [1 per cell]
Y 0.3478 0.3434 0.7013 [1 per cell]
Y 0.8478 0.8434 0.7013 [1 per cell]
Mn 0.0564 0.6591 0.2013 [1 per cell]
Mn 0.5566 0.0277 0.2010 [1 per cell]
Cu 0.2776 0.7737 0.5604 [1 per cell]
Cu 0.4184 0.9129 0.8418 [1 per cell]
Cu 0.7777 0.2726 0.5607 [1 per cell]
Cu 0.9187 0.4144 0.8422 [1 per cell]
O 0.0270 0.5070 0.0458 [1 per cell]
O 0.0279 0.5385 0.5766 [1 per cell]
O 0.0428 0.0384 0.5763 [1 per cell]
O 0.1527 0.1483 0.8259 [1 per cell]
O 0.1677 0.6479 0.8260 [1 per cell]
O 0.1829 0.6613 0.3565 [1 per cell]
O 0.1984 0.0034 0.2013 [1 per cell]
O 0.5281 0.0254 0.0457 [1 per cell]
O 0.5280 0.5239 0.5765 [1 per cell]
O 0.5429 0.0249 0.5767 [1 per cell]
O 0.6532 0.1630 0.8257 [1 per cell]
O 0.6679 0.6629 0.8260 [1 per cell]
O 0.6828 0.1807 0.3560 [1 per cell]
O 0.6987 0.6832 0.2013 [1 per cell]


Record 2
Computed powder XRD pattern
Compound: Li9Mn7O16
Radiation: Cu Kα
Structure: a DFT-relaxed cell (PBE+U, the Materials Project)
Lines closer than 0.1° are merged.

Principal peaks in the range 2θ = 10–90°, low angle first:
- 18.4 deg, I 100, hkl 0 0 2
- 33.8 deg, I 20, hkl 4 0 0
- 36.3 deg, I 23, hkl 2 2 -1
- 37.2 deg, I 10, hkl 0 0 4
- 40.6 deg, I 35, hkl 4 0 2
- 44.3 deg, I 55, hkl 2 2 -3
- 46.9 deg, I 10, hkl 2 2 3
- 58.5 deg, I 9, hkl 2 2 -5
- 61.4 deg, I 17, hkl 6 2 -1
- 62.0 deg, I 16, hkl 2 2 5
- 64.1 deg, I 7, hkl 4 0 -6
- 64.9 deg, I 7, hkl 0 4 0

Structure:
Cell: 10.6735 5.7467 9.7327 Å, 90.00 96.55 90.00°
Space group C2/m (No. 12)
Inequivalent atoms, fractional coordinates:
Li 0.0000 0.0000 0.0000 [2 per cell]
Li 0.1229 0.0000 0.7592 [4 per cell]
Li 0.1258 0.2439 0.2496 [8 per cell]
Li 0.1286 0.5000 0.7564 [4 per cell]
Mn 0.0000 0.2501 0.5000 [4 per cell]
Mn 0.0000 0.5000 0.0000 [2 per cell]
Mn 0.2504 0.0000 0.5008 [4 per cell]
Mn 0.2500 0.2500 0.0000 [4 per cell]
O 0.0506 0.0000 0.3797 [4 per cell]
O 0.0514 0.5000 0.3806 [4 per cell]
O 0.0805 0.2611 0.8966 [8 per cell]
O 0.1939 0.0000 0.1136 [4 per cell]
O 0.1972 0.2505 0.6166 [8 per cell]
O 0.1995 0.5000 0.1179 [4 per cell]


Record 3
Computed powder XRD pattern
Compound: BaNdFeSnO6
Radiation: Cu Kα
Structure: a DFT-relaxed cell (PBE+U, the Materials Project)
Lines closer than 0.1° are merged.

Principal peaks in the range 2θ = 10–90°, low angle first:
- 18.9 deg, I 4, hkl 1 1 1
- 21.9 deg, I 2, hkl 2 0 0
- 31.1 deg, I 100, hkl 2 2 0
- 36.7 deg, I 3, hkl 3 1 1
- 38.3 deg, I 8, hkl 2 2 2
- 44.6 deg, I 31, hkl 4 0 0
- 48.8 deg, I 2, hkl 3 3 1
- 55.3 deg, I 40, hkl 4 2 2
- 64.9 deg, I 19, hkl 4 4 0
- 73.7 deg, I 18, hkl 6 2 0
- 77.9 deg, I 2, hkl 6 2 2
- 82.1 deg, I 6, hkl 4 4 4

Structure:
Cell: 8.1322 8.1322 8.1322 Å, 90.00 90.00 90.00°
Space group F-43m (No. 216)
Inequivalent atoms, fractional coordinates:
Ba 0.0000 0.0000 0.0000 [4 per cell]
Nd 0.0000 0.0000 0.5000 [4 per cell]
Fe 0.2500 0.2500 0.2500 [4 per cell]
Sn 0.2500 0.2500 0.7500 [4 per cell]
O 0.0029 0.2500 0.2500 [24 per cell]


Record 4
Computed powder XRD pattern
Compound: YFeO3
Radiation: Cu Kα
Structure: a DFT-relaxed cell (PBE+U, the Materials Project)
Lines closer than 0.1° are merged.

Principal peaks in the range 2θ = 10–90°, low angle first:
- 25.7 deg, I 16, hkl 1 1 1
- 31.6 deg, I 20, hkl 2 0 0
- 32.7 deg, I 100, hkl 1 2 1
- 33.6 deg, I 23, hkl 0 0 2
- 46.8 deg, I 20, hkl 2 0 2
- 47.0 deg, I 15, hkl 0 4 0
- 48.3 deg, I 10, hkl 2 1 2
- 52.8 deg, I 15, hkl 3 1 1
- 57.8 deg, I 9, hkl 2 4 0
- 59.0 deg, I 12, hkl 0 4 2
- 59.5 deg, I 24, hkl 1 2 3
- 68.5 deg, I 10, hkl 2 4 2

Structure:
Cell: 5.6642 7.7258 5.3400 Å, 90.00 90.00 90.00°
Space group Pnma (No. 62)
Inequivalent atoms, fractional coordinates:
Y 0.0689 0.2500 0.0188 [4 per cell]
Fe 0.0000 0.0000 0.5000 [4 per cell]
O 0.0425 0.7500 0.3851 [4 per cell]
O 0.1937 0.5592 0.8089 [8 per cell]


Record 5
Computed powder XRD pattern
Compound: LiMnP4O12
Radiation: Cu Kα
Structure: a DFT-relaxed cell (PBE+U, the Materials Project)
Lines closer than 0.1° are merged.

Principal peaks in the range 2θ = 10–90°, low angle first:
- 12.4 deg, I 65, hkl 0 0 1
- 12.8 deg, I 100, hkl 0 2 0
- 14.0 deg, I 33, hkl 0 1 1
- 17.1 deg, I 20, hkl 1 0 0
- 18.2 deg, I 24, hkl 1 1 0
- 21.4 deg, I 19, hkl 1 2 0
- 23.3 deg, I 76, hkl 1 2 -1
- 23.8 deg, I 24, hkl 1 1 1
- 25.0 deg, I 44, hkl 0 0 2
- 25.9 deg, I 21, hkl 1 3 0
- 31.1 deg, I 38, hkl 1 4 0
- 32.5 deg, I 19, hkl 1 4 -1

Structure:
Cell: 5.2781 13.7938 7.2437 Å, 90.00 99.99 90.00°
Space group P2_1 (No. 4)
Inequivalent atoms, fractional coordinates:
Li 0.1455 0.0000 0.1275 [2 per cell]
Mn 0.0066 0.2289 0.5033 [2 per cell]
P 0.2816 0.8142 0.8868 [2 per cell]
P 0.3523 0.1664 0.8954 [2 per cell]
P 0.4860 0.8708 0.5496 [2 per cell]
P 0.4988 0.5882 0.4490 [2 per cell]
O 0.1170 0.2069 0.7675 [2 per cell]
O 0.1183 0.7408 0.7623 [2 per cell]
O 0.1528 0.8937 0.9723 [2 per cell]
O 0.2384 0.5953 0.4995 [2 per cell]
O 0.2522 0.3604 0.4977 [2 per cell]
O 0.2704 0.8094 0.4413 [2 per cell]
O 0.2903 0.1535 0.4494 [2 per cell]
O 0.3106 0.1105 0.0616 [2 per cell]
O 0.3816 0.9807 0.5094 [2 per cell]
O 0.4591 0.7573 0.0528 [2 per cell]
O 0.4825 0.6002 0.2259 [2 per cell]
O 0.4950 0.8577 0.7713 [2 per cell]


Record 6
Computed powder XRD pattern
Compound: YCoF5
Radiation: Cu Kα
Structure: a DFT-relaxed cell (PBE+U, the Materials Project)
Lines closer than 0.1° are merged.

Principal peaks in the range 2θ = 10–90°, low angle first:
- 21.7 deg, I 86, hkl 0 0 2
- 24.7 deg, I 100, hkl 1 1 0
- 25.7 deg, I 64, hkl 0 2 0
- 33.1 deg, I 23, hkl 1 1 2
- 33.9 deg, I 20, hkl 0 2 2
- 42.9 deg, I 27, hkl 2 0 0
- 44.3 deg, I 24, hkl 0 0 4
- 44.7 deg, I 34, hkl 1 3 0
- 50.2 deg, I 20, hkl 1 3 2
- 51.4 deg, I 24, hkl 1 1 4
- 51.9 deg, I 20, hkl 0 2 4
- 64.7 deg, I 19, hkl 1 3 4

Structure:
Cell: 4.2162 6.9374 8.1796 Å, 90.00 90.00 90.00°
Space group Immm (No. 71)
Inequivalent atoms, fractional coordinates:
Y 0.0000 0.0000 0.0000 [2 per cell]
Co 0.0000 0.0000 0.5000 [2 per cell]
F 0.0000 0.0000 0.2695 [4 per cell]
F 0.0000 0.3159 0.0000 [4 per cell]
F 0.0000 0.5000 0.5000 [2 per cell]


Record 7
Computed powder XRD pattern
Compound: Sr6MgW4O18
Radiation: Cu Kα
Structure: a DFT-relaxed cell (PBE+U, the Materials Project)
Lines closer than 0.1° are merged.

Principal peaks in the range 2θ = 10–90°, low angle first:
- 17.6 deg, I 98, hkl 0 1 -1
- 17.9 deg, I 100, hkl 1 0 -1
- 18.0 deg, I 77, hkl 1 -1 0
- 27.3 deg, I 47, hkl 1 2 1
- 28.3 deg, I 61, hkl 2 1 1
- 28.8 deg, I 75, hkl 0 2 2
- 30.2 deg, I 49, hkl 2 0 2
- 30.8 deg, I 74, hkl 1 1 -2
- 31.0 deg, I 67, hkl 1 0 3
- 31.1 deg, I 88, hkl 1 -2 1
- 31.6 deg, I 70, hkl -2 1 1
- 40.2 deg, I 44, hkl 1 3 2

Structure:
Cell: 6.9165 7.2905 9.1330 Å, 77.86 79.33 87.58°
Space group P1 (No. 1)
Inequivalent atoms, fractional coordinates:
Sr 0.0000 0.0000 0.0000 [1 per cell]
Sr 0.1014 0.9152 0.5137 [1 per cell]
Sr 0.2330 0.4029 0.2626 [1 per cell]
Sr 0.4235 0.2170 0.7461 [1 per cell]
Sr 0.6200 0.6187 0.4400 [1 per cell]
Sr 0.7407 0.5114 0.0130 [1 per cell]
Mg 0.6146 0.8018 0.7598 [1 per cell]
W 0.0070 0.4355 0.6336 [1 per cell]
W 0.2097 0.6208 0.8331 [1 per cell]
W 0.5197 0.9302 0.1266 [1 per cell]
W 0.6889 0.0939 0.3498 [1 per cell]
O 0.0025 0.5898 0.4419 [1 per cell]
O 0.0790 0.6165 0.0335 [1 per cell]
O 0.0806 0.3430 0.8460 [1 per cell]
O 0.1436 0.2360 0.5659 [1 per cell]
O 0.2845 0.5687 0.6183 [1 per cell]
O 0.3040 0.8825 0.7664 [1 per cell]
O 0.3228 0.0704 0.0403 [1 per cell]
O 0.4235 0.9634 0.3515 [1 per cell]
O 0.4803 0.5510 0.8590 [1 per cell]
O 0.4798 0.6600 0.1910 [1 per cell]
O 0.5562 0.2963 0.4145 [1 per cell]
O 0.6473 0.1935 0.1325 [1 per cell]
O 0.6857 0.9007 0.9270 [1 per cell]
O 0.7029 0.9283 0.5414 [1 per cell]
O 0.7529 0.3557 0.6738 [1 per cell]
O 0.7713 0.8760 0.2362 [1 per cell]
O 0.9352 0.6674 0.7417 [1 per cell]
O 0.9493 0.1731 0.3075 [1 per cell]